Calculated PXRD pattern
Compound: Mn3V5
Radiation: Cu Kα
Structure: a DFT-relaxed cell (PBE, Alexandria)
Kinematic intensities with the Lorentz-polarization factor, no thermal factor.

Most intense lines, 2θ = 10–90°, in order of rising 2θ:
| 2θ/deg | I_rel |
| --- | --- |
| 22.73 | 1 |
| 43.99 | 100 |
| 44.35 | 49 |
| 63.40 | 7 |
| 64.51 | 14 |
| 80.63 | 14 |
| 81.39 | 28 |

a b c (Å): 2.889 2.889 11.737
angles (deg): 90.00 90.00 90.00
Fractional coordinates of all 8 atoms:
Mn  0.000  0.000  0.000
Mn  0.500  0.500  0.377
Mn  0.500  0.500  0.623
V  0.000  0.000  0.257
V  0.000  0.000  0.500
V  0.000  0.000  0.743
V  0.500  0.500  0.122
V  0.500  0.500  0.878

---

Calculated PXRD pattern
Compound: Mn2V5
Radiation: Cu Kα
Structure: a DFT-relaxed cell (PBE, Alexandria)
Kinematic intensities with the Lorentz-polarization factor, no thermal factor.

Most intense lines, 2θ = 10–90°, in order of rising 2θ:
| 2θ/deg | I_rel |
| --- | --- |
| 36.08 | 17 |
| 36.46 | 18 |
| 38.46 | 19 |
| 42.55 | 20 |
| 44.62 | 85 |
| 45.06 | 100 |
| 45.23 | 91 |
| 66.55 | 16 |
| 82.42 | 17 |
| 83.70 | 23 |

a b c (Å): 7.022 7.022 7.022
angles (deg): 131.91 69.65 132.82
Fractional coordinates of all 14 atoms:
Mn  0.132  0.224  0.356
Mn  0.368  0.724  0.093
Mn  0.632  0.276  0.907
Mn  0.868  0.776  0.644
V  0.000  0.250  0.750
V  0.000  0.750  0.250
V  0.095  0.681  0.777
V  0.250  0.250  0.000
V  0.405  0.181  0.586
V  0.500  0.250  0.250
V  0.500  0.750  0.750
V  0.595  0.819  0.414
V  0.750  0.750  0.000
V  0.905  0.319  0.223

---

Calculated PXRD pattern
Compound: Mn3V13
Radiation: Cu Kα
Structure: a DFT-relaxed cell (PBE, Alexandria)
Kinematic intensities with the Lorentz-polarization factor, no thermal factor.

Most intense lines, 2θ = 10–90°, in order of rising 2θ:
| 2θ/deg | I_rel |
| --- | --- |
| 15.01 | 1 |
| 43.08 | 26 |
| 43.46 | 100 |
| 43.63 | 25 |
| 62.99 | 15 |
| 63.31 | 7 |
| 79.24 | 14 |
| 79.65 | 7 |
| 80.02 | 21 |

a b c (Å): 5.876 5.903 5.903
angles (deg): 89.31 90.00 90.00
Fractional coordinates of all 16 atoms:
Mn  0.000  0.000  0.000
Mn  0.250  0.252  0.252
Mn  0.750  0.252  0.252
V  0.000  0.009  0.492
V  0.000  0.492  0.009
V  0.000  0.498  0.498
V  0.247  0.247  0.756
V  0.247  0.753  0.753
V  0.247  0.756  0.247
V  0.500  0.008  0.008
V  0.500  0.009  0.497
V  0.500  0.497  0.009
V  0.500  0.499  0.499
V  0.753  0.247  0.756
V  0.753  0.753  0.753
V  0.753  0.756  0.247

---

Calculated PXRD pattern
Compound: Mn6V
Radiation: Cu Kα
Structure: a DFT-relaxed cell (PBE, Alexandria)
Kinematic intensities with the Lorentz-polarization factor, no thermal factor.

Most intense lines, 2θ = 10–90°, in order of rising 2θ:
| 2θ/deg | I_rel |
| --- | --- |
| 20.98 | 32 |
| 29.84 | 45 |
| 36.76 | 100 |
| 48.05 | 6 |
| 52.97 | 33 |
| 57.59 | 48 |
| 61.99 | 27 |
| 70.30 | 12 |
| 74.29 | 11 |
| 89.68 | 13 |

a b c (Å): 5.186 5.186 5.186
angles (deg): 109.47 109.47 109.47
Fractional coordinates of all 7 atoms:
Mn  0.250  0.500  0.750
Mn  0.250  0.750  0.500
Mn  0.500  0.250  0.750
Mn  0.500  0.750  0.250
Mn  0.750  0.250  0.500
Mn  0.750  0.500  0.250
V  0.000  0.000  0.000

---

Calculated PXRD pattern
Compound: MnV4W3
Radiation: Cu Kα
Structure: a DFT-relaxed cell (PBE, Alexandria)
Kinematic intensities with the Lorentz-polarization factor, no thermal factor.

Most intense lines, 2θ = 10–90°, in order of rising 2θ:
| 2θ/deg | I_rel |
| --- | --- |
| 14.55 | 5 |
| 29.39 | 33 |
| 36.97 | 5 |
| 42.04 | 100 |
| 52.13 | 10 |
| 60.86 | 5 |
| 61.03 | 11 |
| 69.16 | 8 |
| 76.75 | 10 |
| 76.87 | 22 |

a b c (Å): 3.037 3.037 12.177
angles (deg): 90.00 90.00 90.00
Fractional coordinates of all 8 atoms:
Mn  0.000  0.000  0.000
V  0.500  0.500  0.115
V  0.500  0.500  0.371
V  0.500  0.500  0.629
V  0.500  0.500  0.885
W  0.000  0.000  0.244
W  0.000  0.000  0.500
W  0.000  0.000  0.756

---

Calculated PXRD pattern
Compound: MnV6W
Radiation: Cu Kα
Structure: a DFT-relaxed cell (PBE, Alexandria)
Kinematic intensities with the Lorentz-polarization factor, no thermal factor.

Most intense lines, 2θ = 10–90°, in order of rising 2θ:
| 2θ/deg | I_rel |
| --- | --- |
| 18.58 | 33 |
| 26.39 | 38 |
| 32.47 | 15 |
| 37.66 | 47 |
| 42.31 | 64 |
| 46.57 | 100 |
| 57.92 | 10 |
| 71.17 | 14 |
| 74.30 | 47 |
| 80.42 | 11 |

a b c (Å): 4.777 4.777 4.777
angles (deg): 90.00 90.00 90.00
Fractional coordinates of all 8 atoms:
Mn  0.000  0.000  0.000
V  0.000  0.500  0.243
V  0.000  0.500  0.757
V  0.243  0.000  0.500
V  0.500  0.243  0.000
V  0.500  0.757  0.000
V  0.757  0.000  0.500
W  0.500  0.500  0.500

---

Calculated PXRD pattern
Compound: Mn4VZn10
Radiation: Cu Kα
Structure: a DFT-relaxed cell (PBE, Alexandria)
Kinematic intensities with the Lorentz-polarization factor, no thermal factor.

Most intense lines, 2θ = 10–90°, in order of rising 2θ:
| 2θ/deg | I_rel |
| --- | --- |
| 32.85 | 21 |
| 41.15 | 89 |
| 41.25 | 44 |
| 42.44 | 100 |
| 42.54 | 50 |
| 54.65 | 14 |
| 60.58 | 26 |
| 60.77 | 13 |
| 77.78 | 15 |
| 84.28 | 17 |

a b c (Å): 6.925 6.925 5.042
angles (deg): 99.52 99.52 64.44
Fractional coordinates of all 15 atoms:
Mn  0.098  0.098  0.394
Mn  0.307  0.307  0.198
Mn  0.693  0.693  0.802
Mn  0.902  0.902  0.606
V  0.500  0.500  0.000
Zn  0.064  0.733  0.099
Zn  0.132  0.465  0.699
Zn  0.267  0.936  0.901
Zn  0.330  0.670  0.500
Zn  0.465  0.132  0.699
Zn  0.535  0.868  0.301
Zn  0.670  0.330  0.500
Zn  0.733  0.064  0.099
Zn  0.868  0.535  0.301
Zn  0.936  0.267  0.901

---

Calculated PXRD pattern
Compound: MnVZn4
Radiation: Cu Kα
Structure: a DFT-relaxed cell (PBE, Alexandria)
Kinematic intensities with the Lorentz-polarization factor, no thermal factor.

Most intense lines, 2θ = 10–90°, in order of rising 2θ:
| 2θ/deg | I_rel |
| --- | --- |
| 31.47 | 1 |
| 34.09 | 2 |
| 41.00 | 100 |
| 47.56 | 32 |
| 48.00 | 15 |
| 69.54 | 9 |
| 69.89 | 18 |
| 84.02 | 22 |
| 84.67 | 10 |
| 88.93 | 9 |

a b c (Å): 2.704 2.704 11.371
angles (deg): 90.00 90.00 90.00
Fractional coordinates of all 6 atoms:
Mn  0.000  0.000  0.000
V  0.500  0.500  0.500
Zn  0.000  0.000  0.331
Zn  0.000  0.000  0.669
Zn  0.500  0.500  0.158
Zn  0.500  0.500  0.842

---

Calculated PXRD pattern
Compound: ZrMnV
Radiation: Cu Kα
Structure: a DFT-relaxed cell (PBE, Alexandria)
Kinematic intensities with the Lorentz-polarization factor, no thermal factor.

Most intense lines, 2θ = 10–90°, in order of rising 2θ:
| 2θ/deg | I_rel |
| --- | --- |
| 23.93 | 20 |
| 39.28 | 100 |
| 39.83 | 47 |
| 40.35 | 79 |
| 45.55 | 32 |
| 52.84 | 12 |
| 62.08 | 24 |
| 71.22 | 15 |
| 73.38 | 11 |
| 79.94 | 10 |

a b c (Å): 5.570 5.570 4.530
angles (deg): 92.11 92.11 41.90
Fractional coordinates of all 6 atoms:
Zr  0.091  0.091  0.261
Zr  0.909  0.909  0.739
Mn  0.237  0.237  0.759
Mn  0.763  0.763  0.241
V  0.383  0.383  0.231
V  0.617  0.617  0.769

---

Calculated PXRD pattern
Compound: Mn3W5
Radiation: Cu Kα
Structure: a DFT-relaxed cell (PBE, Alexandria)
Kinematic intensities with the Lorentz-polarization factor, no thermal factor.

Most intense lines, 2θ = 10–90°, in order of rising 2θ:
| 2θ/deg | I_rel |
| --- | --- |
| 27.47 | 22 |
| 29.08 | 24 |
| 36.77 | 23 |
| 37.03 | 21 |
| 38.15 | 54 |
| 41.35 | 32 |
| 41.60 | 44 |
| 42.61 | 100 |
| 45.53 | 40 |
| 68.31 | 17 |

a b c (Å): 7.288 7.288 7.282
angles (deg): 96.41 96.41 140.80
Fractional coordinates of all 16 atoms:
Mn  0.178  0.822  0.000
Mn  0.250  0.750  0.500
Mn  0.324  0.324  0.643
Mn  0.676  0.676  0.357
Mn  0.750  0.250  0.500
Mn  0.822  0.178  0.000
W  0.070  0.277  0.349
W  0.223  0.572  0.793
W  0.249  0.249  0.999
W  0.277  0.070  0.349
W  0.428  0.777  0.207
W  0.572  0.223  0.793
W  0.723  0.930  0.651
W  0.751  0.751  0.001
W  0.777  0.428  0.207
W  0.930  0.723  0.651

---

Calculated PXRD pattern
Compound: Mn3W2
Radiation: Cu Kα
Structure: a DFT-relaxed cell (PBE, Alexandria)
Kinematic intensities with the Lorentz-polarization factor, no thermal factor.

Most intense lines, 2θ = 10–90°, in order of rising 2θ:
| 2θ/deg | I_rel |
| --- | --- |
| 21.32 | 30 |
| 30.08 | 49 |
| 36.81 | 57 |
| 37.10 | 86 |
| 37.52 | 68 |
| 40.60 | 38 |
| 42.87 | 100 |
| 42.99 | 60 |
| 43.43 | 58 |
| 45.65 | 36 |

a b c (Å): 6.538 4.959 7.325
angles (deg): 60.75 41.43 77.82
Fractional coordinates of all 10 atoms:
Mn  0.000  0.000  0.000
Mn  0.250  0.250  0.250
Mn  0.264  0.384  0.509
Mn  0.384  0.264  0.843
Mn  0.407  0.741  0.866
Mn  0.741  0.407  0.986
W  0.379  0.814  0.524
W  0.726  0.966  0.871
W  0.814  0.379  0.284
W  0.966  0.726  0.436

---

Calculated PXRD pattern
Compound: Mn2W3
Radiation: Cu Kα
Structure: a DFT-relaxed cell (PBE, Alexandria)
Kinematic intensities with the Lorentz-polarization factor, no thermal factor.

Most intense lines, 2θ = 10–90°, in order of rising 2θ:
| 2θ/deg | I_rel |
| --- | --- |
| 16.29 | 17 |
| 24.54 | 19 |
| 38.75 | 13 |
| 39.66 | 100 |
| 41.48 | 28 |
| 46.67 | 61 |
| 66.86 | 21 |
| 69.39 | 19 |
| 80.63 | 13 |
| 81.82 | 23 |

a b c (Å): 11.004 11.004 11.004
angles (deg): 14.61 14.61 14.61
Fractional coordinates of all 5 atoms:
Mn  0.102  0.102  0.102
Mn  0.898  0.898  0.898
W  0.296  0.296  0.296
W  0.500  0.500  0.500
W  0.704  0.704  0.704

---

Calculated PXRD pattern
Compound: Mn3W
Radiation: Cu Kα
Structure: a DFT-relaxed cell (PBE, Alexandria)
Kinematic intensities with the Lorentz-polarization factor, no thermal factor.

Most intense lines, 2θ = 10–90°, in order of rising 2θ:
| 2θ/deg | I_rel |
| --- | --- |
| 22.80 | 32 |
| 30.59 | 17 |
| 31.42 | 20 |
| 43.62 | 100 |
| 43.81 | 50 |
| 49.94 | 9 |
| 54.89 | 9 |
| 63.68 | 16 |
| 79.98 | 16 |
| 80.37 | 31 |

a b c (Å): 6.578 6.578 6.578
angles (deg): 143.38 143.38 52.76
Fractional coordinates of all 8 atoms:
Mn  0.000  0.500  0.500
Mn  0.121  0.121  0.000
Mn  0.250  0.750  0.500
Mn  0.500  0.000  0.500
Mn  0.750  0.250  0.500
Mn  0.879  0.879  0.000
W  0.372  0.372  0.000
W  0.628  0.628  0.000

---

Calculated PXRD pattern
Compound: Mn3W
Radiation: Cu Kα
Structure: a DFT-relaxed cell (PBE, Alexandria)
Kinematic intensities with the Lorentz-polarization factor, no thermal factor.

Most intense lines, 2θ = 10–90°, in order of rising 2θ:
| 2θ/deg | I_rel |
| --- | --- |
| 15.58 | 38 |
| 30.02 | 18 |
| 31.46 | 8 |
| 33.99 | 29 |
| 42.96 | 54 |
| 44.03 | 100 |
| 45.97 | 11 |
| 62.38 | 17 |
| 79.48 | 33 |
| 81.72 | 15 |

a b c (Å): 2.977 2.977 5.688
angles (deg): 90.00 90.00 90.00
Fractional coordinates of all 4 atoms:
Mn  0.000  0.000  0.000
Mn  0.500  0.500  0.242
Mn  0.500  0.500  0.758
W  0.000  0.000  0.500